[1]
Diffraction record for DyB4. The XRD peak list is theoretical, not measured: it uses DFT lattice parameters and positions (GGA-PBE) and Cu Kα, 1.54184 Å.
Lines closer than 0.1° are merged.

Crystal structure
abc: 7.102 7.102 4.019
angles: 90.00 90.00 90.00
Positions (direct):
Dy (0.182, 0.318, 0.000)
Dy (0.318, 0.818, 0.000)
Dy (0.682, 0.182, 0.000)
Dy (0.818, 0.682, 0.000)
B (0.000, 0.000, 0.203)
B (0.000, 0.000, 0.797)
B (0.039, 0.824, 0.500)
B (0.087, 0.587, 0.500)
B (0.176, 0.039, 0.500)
B (0.324, 0.539, 0.500)
B (0.413, 0.087, 0.500)
B (0.461, 0.324, 0.500)
B (0.500, 0.500, 0.203)
B (0.500, 0.500, 0.797)
B (0.539, 0.676, 0.500)
B (0.587, 0.913, 0.500)
B (0.676, 0.461, 0.500)
B (0.824, 0.961, 0.500)
B (0.913, 0.413, 0.500)
B (0.961, 0.176, 0.500)

Top 10 peaks for 2θ = 15–90°, low angle first:
d = 4.019 Å, 2θ = 22.12°, intensity 58
d = 3.551 Å, 2θ = 25.08°, intensity 38
d = 3.176 Å, 2θ = 28.10°, intensity 78
d = 2.661 Å, 2θ = 33.68°, intensity 54
d = 2.492 Å, 2θ = 36.04°, intensity 100
d = 1.961 Å, 2θ = 46.31°, intensity 18
d = 1.722 Å, 2θ = 53.18°, intensity 29
d = 1.698 Å, 2θ = 54.00°, intensity 26
d = 1.583 Å, 2θ = 58.28°, intensity 35
d = 1.308 Å, 2θ = 72.24°, intensity 24

[2]
Diffraction record for EuY2Se4. The XRD peak list is theoretical, not measured: it uses DFT lattice parameters and positions (GGA-PBE) and Cu Kα, 1.54184 Å.
Lines closer than 0.1° are merged.

Crystal structure
abc: 12.567 4.131 14.948
angles: 90.00 90.00 90.00
Positions (direct):
Eu (0.242, 0.250, 0.163)
Eu (0.258, 0.750, 0.663)
Eu (0.742, 0.250, 0.337)
Eu (0.758, 0.750, 0.837)
Y (0.066, 0.250, 0.389)
Y (0.081, 0.250, 0.901)
Y (0.419, 0.750, 0.401)
Y (0.434, 0.750, 0.889)
Y (0.566, 0.250, 0.111)
Y (0.581, 0.250, 0.599)
Y (0.919, 0.750, 0.099)
Y (0.934, 0.750, 0.611)
Se (0.024, 0.750, 0.784)
Se (0.090, 0.250, 0.579)
Se (0.133, 0.750, 0.030)
Se (0.208, 0.750, 0.322)
Se (0.292, 0.250, 0.822)
Se (0.367, 0.250, 0.530)
Se (0.410, 0.750, 0.079)
Se (0.476, 0.250, 0.284)
Se (0.524, 0.750, 0.716)
Se (0.590, 0.250, 0.921)
Se (0.633, 0.750, 0.470)
Se (0.708, 0.750, 0.178)
Se (0.792, 0.250, 0.678)
Se (0.867, 0.250, 0.970)
Se (0.910, 0.750, 0.421)
Se (0.976, 0.250, 0.216)

Top 10 peaks for 2θ = 15–90°, low angle first:
d = 3.654 Å, 2θ = 24.36°, intensity 34
d = 3.082 Å, 2θ = 28.97°, intensity 100
d = 2.896 Å, 2θ = 30.87°, intensity 37
d = 2.886 Å, 2θ = 30.99°, intensity 48
d = 2.534 Å, 2θ = 35.42°, intensity 63
d = 2.501 Å, 2θ = 35.91°, intensity 20
d = 2.466 Å, 2θ = 36.43°, intensity 30
d = 2.316 Å, 2θ = 38.89°, intensity 33
d = 2.065 Å, 2θ = 43.84°, intensity 54
d = 2.021 Å, 2θ = 44.86°, intensity 22

[3]
Diffraction record for Mg6AlSi. The XRD peak list is theoretical, not measured: it uses DFT lattice parameters and positions (GGA-PBE) and Cu Kα, 1.54184 Å.
Lines closer than 0.1° are merged.

Crystal structure
abc: 5.062 6.079 6.079
angles: 61.37 90.00 90.00
Positions (direct):
Mg (0.000, 0.000, 0.000)
Mg (0.000, 0.492, 0.994)
Mg (0.000, 0.499, 0.499)
Mg (0.000, 0.994, 0.492)
Mg (0.500, 0.163, 0.663)
Mg (0.500, 0.663, 0.163)
Al (0.500, 0.662, 0.662)
Si (0.500, 0.162, 0.162)

Top 10 peaks for 2θ = 15–90°, low angle first:
d = 2.668 Å, 2θ = 33.59°, intensity 24
d = 2.614 Å, 2θ = 34.31°, intensity 11
d = 2.531 Å, 2θ = 35.47°, intensity 41
d = 2.360 Å, 2θ = 38.13°, intensity 100
d = 2.322 Å, 2θ = 38.77°, intensity 48
d = 1.836 Å, 2θ = 49.65°, intensity 15
d = 1.519 Å, 2θ = 60.99°, intensity 16
d = 1.426 Å, 2θ = 65.45°, intensity 19
d = 1.303 Å, 2θ = 72.58°, intensity 18
d = 1.290 Å, 2θ = 73.41°, intensity 14